# MgTi2Tl2P2S10
Computed X-ray powder pattern, Cu Kα, 1.54184 Å. Input: a crystal structure in the Materials Project, relaxed with GGA-PBE.

Peak list (12 most intense, 2θ from 10° to 80°, sorted by position)
2theta  intensity  (hkl)
13.7  57.2  1 0 0
15.6  55.1  1 0 -1
18.5  59.2  1 -1 0
18.7  53.2  1 1 -1
19.6  55.6  0 0 2
24.8  100.0  0 2 -1
26.4  57.1  0 2 0
26.9  66.1  0 2 -2
27.9  64.5  0 1 -3
30.8  82.2  2 0 1
33.1  60.0  -1 2 1
37.4  65.4  2 -2 1

Cell and atoms:
Lattice parameters (Å, degrees): 6.532 7.200 9.743 110.19 98.13 90.29
Positions (direct):
Mg: 0.000 0.000 0.000
Ti: 0.499 0.708 0.997
Ti: 0.501 0.292 0.003
Tl: 0.295 0.289 0.566
Tl: 0.705 0.711 0.434
P: 0.280 0.879 0.739
P: 0.720 0.121 0.261
S: 0.153 0.695 0.836
S: 0.154 0.153 0.835
S: 0.235 0.778 0.519
S: 0.356 0.568 0.149
S: 0.408 0.079 0.169
S: 0.592 0.921 0.831
S: 0.644 0.432 0.851
S: 0.765 0.222 0.481
S: 0.846 0.847 0.165
S: 0.847 0.305 0.164